1.
Structure and calculated powder diffraction line list of Li9Mn2Co5O16 (a cell relaxed with PBE+U; copper Kα).
Lines closer than 0.1° are merged.

Structure:
Cell lengths 2.985, 5.111, 19.596 Å; angles 91.66, 93.16, 105.05 degrees
Fractional coordinates of all 32 atoms:
Li 0.000 0.000 0.000
Li 0.051 0.292 0.815
Li 0.169 0.919 0.438
Li 0.266 0.536 0.055
Li 0.419 0.173 0.686
Li 0.542 0.796 0.314
Li 0.665 0.410 0.939
Li 0.795 0.045 0.563
Li 0.934 0.678 0.190
Mn 0.599 0.109 0.122
Mn 0.728 0.734 0.752
Co 0.103 0.608 0.625
Co 0.225 0.225 0.251
Co 0.373 0.861 0.881
Co 0.482 0.483 0.500
Co 0.859 0.354 0.374
O 0.038 0.462 0.715
O 0.040 0.112 0.904
O 0.120 0.747 0.534
O 0.222 0.094 0.341
O 0.228 0.351 0.158
O 0.323 0.707 0.959
O 0.412 0.995 0.788
O 0.461 0.342 0.590
O 0.501 0.622 0.408
O 0.550 0.972 0.218
O 0.644 0.267 0.039
O 0.683 0.595 0.842
O 0.739 0.872 0.659
O 0.843 0.217 0.465
O 0.914 0.491 0.282
O 0.978 0.867 0.099

The 10 most intense peaks (10 to 90 degrees two-theta), sorted by position:
4.833 Å, 2θ = 18.36°, intensity 100.0
2.571 Å, 2θ = 34.90°, intensity 17.1
2.489 Å, 2θ = 36.09°, intensity 13.6
2.443 Å, 2θ = 36.78°, intensity 11.2
2.153 Å, 2θ = 41.97°, intensity 32.0
2.068 Å, 2θ = 43.77°, intensity 27.7
2.021 Å, 2θ = 44.84°, intensity 25.1
1.491 Å, 2θ = 62.25°, intensity 16.1
1.477 Å, 2θ = 62.91°, intensity 7.8
1.470 Å, 2θ = 63.27°, intensity 7.5

=====

2.
Structure and calculated powder diffraction line list of GdFe3B4O12 (a cell relaxed with PBE+U; copper Kα).
Lines closer than 0.1° are merged.

Structure:
Cell lengths 6.002, 6.002, 6.002 Å; angles 104.20, 104.20, 104.20 degrees
Fractional coordinates of all 20 atoms:
Gd 0.000 0.000 0.000
Fe 0.000 0.443 0.557
Fe 0.443 0.557 0.000
Fe 0.557 0.000 0.443
B 0.059 0.940 0.500
B 0.500 0.059 0.941
B 0.500 0.500 0.500
B 0.941 0.500 0.059
O 0.029 0.782 0.629
O 0.088 0.500 0.912
O 0.218 0.971 0.371
O 0.353 0.500 0.647
O 0.371 0.218 0.971
O 0.500 0.647 0.353
O 0.500 0.912 0.088
O 0.629 0.029 0.782
O 0.647 0.353 0.500
O 0.782 0.629 0.029
O 0.912 0.088 0.500
O 0.971 0.371 0.218

The 10 most intense peaks (10 to 90 degrees two-theta), sorted by position:
5.502 Å, 2θ = 16.11°, intensity 32.2
4.736 Å, 2θ = 18.74°, intensity 28.1
3.589 Å, 2θ = 24.80°, intensity 86.2
2.861 Å, 2θ = 31.27°, intensity 31.0
2.751 Å, 2θ = 32.55°, intensity 100.0
2.379 Å, 2θ = 37.82°, intensity 20.7
2.368 Å, 2θ = 38.00°, intensity 24.3
1.939 Å, 2θ = 46.84°, intensity 23.9
1.710 Å, 2θ = 53.58°, intensity 26.3
1.690 Å, 2θ = 54.28°, intensity 18.8

=====

3.
Structure and calculated powder diffraction line list of Ce2Mo3O12 (a cell relaxed with PBE+U; copper Kα).
Lines closer than 0.1° are merged.

Structure:
Cell lengths 6.926, 6.926, 11.947 Å; angles 100.04, 100.04, 113.04 degrees
Fractional coordinates of all 34 atoms:
Ce 0.048 0.296 0.090
Ce 0.296 0.048 0.590
Ce 0.704 0.952 0.410
Ce 0.952 0.704 0.910
Mo 0.124 0.876 0.250
Mo 0.211 0.462 0.423
Mo 0.462 0.211 0.923
Mo 0.538 0.789 0.077
Mo 0.789 0.538 0.577
Mo 0.876 0.124 0.750
O 0.034 0.438 0.288
O 0.073 0.664 0.111
O 0.110 0.192 0.455
O 0.137 0.202 0.715
O 0.192 0.110 0.955
O 0.202 0.137 0.215
O 0.215 0.665 0.539
O 0.335 0.785 0.961
O 0.336 0.927 0.389
O 0.428 0.523 0.102
O 0.438 0.034 0.788
O 0.477 0.572 0.398
O 0.523 0.428 0.602
O 0.562 0.966 0.212
O 0.572 0.477 0.898
O 0.664 0.073 0.611
O 0.665 0.215 0.039
O 0.785 0.335 0.461
O 0.798 0.863 0.785
O 0.808 0.890 0.045
O 0.863 0.798 0.285
O 0.890 0.808 0.545
O 0.927 0.336 0.889
O 0.966 0.562 0.712

The 10 most intense peaks (10 to 90 degrees two-theta), sorted by position:
6.136 Å, 2θ = 14.44°, intensity 27.5
5.147 Å, 2θ = 17.23°, intensity 22.2
3.187 Å, 2θ = 28.00°, intensity 100.0
3.162 Å, 2θ = 28.22°, intensity 97.5
2.888 Å, 2θ = 30.96°, intensity 26.5
2.692 Å, 2θ = 33.29°, intensity 18.6
2.681 Å, 2θ = 33.42°, intensity 18.5
1.969 Å, 2θ = 46.09°, intensity 30.2
1.965 Å, 2θ = 46.20°, intensity 32.5
1.272 Å, 2θ = 74.60°, intensity 18.1